Starting from a structure optimized by DFT (PBE), the X-ray diffraction stick pattern of PuMgZn was calculated for Cu Kα (weighted mean of Kα1 and Kα2).
Intensities are scaled so that the largest is 100.

Main lines, by angle (2θ from 10° to 90°):
d_spacing, 2θ (°), I (rel.)
5.264, 16.84, 53
4.595, 19.32, 44
4.276, 20.77, 60
2.808, 31.87, 41
2.632, 34.06, 35
2.587, 34.68, 100
2.415, 37.23, 59
2.284, 39.45, 24
2.138, 42.27, 36
2.124, 42.56, 41

Structure:
a b c (Å): 6.988 5.925 5.339
angles (deg): 76.49 55.53 47.98
Fractional positions:
1 Pu 0.166 0.834 0.166
2 Pu 0.834 0.166 0.834
3 Mg 0.348 0.348 0.652
4 Mg 0.652 0.652 0.348
5 Zn 0.250 0.250 0.250
6 Zn 0.750 0.750 0.750